For Ce6Mg23Sb, a GGA-PBE-relaxed structure gives the simulated X-ray diffraction stick pattern in this record (Cu Kα X-rays).
Neutral-atom scattering factors, no anomalous dispersion.

Atomic structure:
```
30
Lattice="0.0000 7.2556 7.2556 7.2556 0.0000 7.2556 7.2556 7.2556 0.0000" Properties=species:S:1:pos:R:3 pbc="T T T"
Ce 7.2556 7.2556 3.1360
Ce 7.2556 3.1360 7.2556
Ce 11.3753 7.2556 7.2556
Ce 3.1360 7.2556 7.2556
Ce 7.2556 11.3753 7.2556
Ce 7.2556 7.2556 11.3753
Mg 3.6278 3.6278 0.0000
Mg 3.6278 0.0000 3.6278
Mg 7.2556 3.6278 3.6278
Mg 9.0339 5.4773 5.4773
Mg 2.4419 2.4419 2.4419
Mg 4.8137 4.8137 2.4419
Mg 4.8137 2.4419 4.8137
Mg 5.4773 5.4773 5.4773
Mg 9.0339 9.0339 5.4773
Mg 9.0339 5.4773 9.0339
Mg 2.4419 4.8137 4.8137
Mg 0.0000 3.6278 3.6278
Mg 3.6278 7.2556 3.6278
Mg 3.6278 3.6278 7.2556
Mg 7.2556 7.2556 7.2556
Mg 12.0694 9.6976 9.6976
Mg 5.4773 9.0339 5.4773
Mg 5.4773 5.4773 9.0339
Mg 9.0339 9.0339 9.0339
Mg 9.6976 12.0694 9.6976
Mg 9.6976 9.6976 12.0694
Mg 12.0694 12.0694 12.0694
Mg 5.4773 9.0339 9.0339
Sb 0.0000 0.0000 0.0000
```

Principal peaks in the range 2θ from 15° to 90°, by angle:
21.21 deg, I = 39
24.54 deg, I = 48
27.49 deg, I = 32
32.05 deg, I = 74
34.98 deg, I = 100
37.18 deg, I = 21
44.59 deg, I = 25
48.17 deg, I = 19
62.73 deg, I = 16
66.67 deg, I = 28

=====

For La6Pr2YEr, a GGA-PBE-relaxed structure gives the simulated X-ray diffraction stick pattern in this record (Cu Kα X-rays).
Neutral-atom scattering factors, no anomalous dispersion.

Atomic structure:
```
20
Lattice="4.9463 -7.7064 0.0000 4.9463 7.7064 0.0000 -0.2976 0.0000 9.3449" Properties=species:S:1:pos:R:3 pbc="T T T"
La 2.3421 3.3770 6.3613
La 3.9450 5.5005 8.4215
La 5.5013 5.5005 5.5959
La 4.1809 2.3492 0.8168
La 5.5630 2.3492 3.8557
La 2.4909 -3.3770 1.6888
La 7.1042 3.3770 7.6561
La 4.0320 -2.3492 5.4892
La 5.4142 -2.3492 8.5281
La 4.0938 -5.5005 3.7490
La 5.6501 -5.5005 0.9234
La 7.2530 -3.3770 2.9836
Pr 2.3653 0.6835 4.0990
Pr 2.2165 -0.6835 8.7714
Pr 7.3786 0.6835 0.5735
Pr 7.2298 -0.6835 5.2459
Y 4.8719 6.5568 2.3362
Y 4.7231 -6.5568 7.0087
Er 4.7231 0.9592 7.0087
Er 4.8719 -0.9592 2.3362
```

Principal peaks in the range 2θ from 15° to 90°, by angle:
27.54 deg, I = 51
28.34 deg, I = 41
29.07 deg, I = 99
29.39 deg, I = 56
29.60 deg, I = 42
30.76 deg, I = 57
30.96 deg, I = 100
31.12 deg, I = 42
31.79 deg, I = 45
33.28 deg, I = 29